No. 1
Structure and theoretical X-ray powder pattern of TlCu2Se (a GGA-PBE-relaxed structure; CuKα).
Lines closer than 0.1° are merged.

Atomic structure:
a b c (Å): 6.152 8.507 4.396
angles (deg): 90.00 133.34 90.00
Space group C2/m (No. 12)
Symmetry-distinct sites (fractional):
1 Tl 0.000 0.000 0.000 x2
2 Cu 0.250 0.250 0.000 x4
3 Se 0.000 0.500 0.000 x2

Most intense lines, 2θ = 10–90°, in order of rising 2θ:
d_spacing	2theta	I (rel.)	index
4.254	20.9	22	0 2 0
3.960	22.5	26	1 1 0
3.903	22.8	25	1 1 -1
3.197	27.9	98	0 0 1
2.492	36.0	100	2 2 -1
2.127	42.5	31	0 4 0
1.980	45.8	50	2 2 0
1.951	46.5	52	2 2 -2
1.771	51.6	35	0 4 1
1.355	69.4	14	2 2 1


No. 2
Structure and theoretical X-ray powder pattern of TlCu5Se4 (a GGA-PBE-relaxed structure; CuKα).
Lines closer than 0.1° are merged.

Atomic structure:
a b c (Å): 7.713 12.839 3.828
angles (deg): 90.00 90.00 90.00
Space group Pmmn (No. 59, origin choice 2)
Symmetry-distinct sites (fractional):
1 Tl 0.250 0.250 0.070 x2
2 Cu 0.082 0.563 0.250 x8
3 Cu 0.250 0.750 0.937 x2
4 Se 0.050 0.750 0.437 x4
5 Se 0.250 0.017 0.770 x4

Most intense lines, 2θ = 10–90°, in order of rising 2θ:
d_spacing	2theta	I (rel.)	index
3.210	27.8	100	0 4 0
2.853	31.4	57	0 3 1
2.717	33.0	58	2 0 1
2.521	35.6	47	3 1 0
2.502	35.9	74	2 2 1
2.134	42.4	51	3 0 1
2.074	43.6	52	2 4 1
2.025	44.7	43	3 2 1
1.834	49.7	49	0 2 2
1.816	50.2	63	3 5 0


No. 3
Structure and theoretical X-ray powder pattern of Tl3Cu2Se3 (a GGA-PBE-relaxed structure; CuKα).
Lines closer than 0.1° are merged.

Atomic structure:
a b c (Å): 8.356 14.663 6.559
angles (deg): 90.00 90.00 90.00
Space group Pnma (No. 62)
Symmetry-distinct sites (fractional):
1 Tl 0.036 0.116 0.103 x8
2 Tl 0.196 0.250 0.511 x4
3 Cu 0.120 0.583 0.375 x8
4 Se 0.163 0.750 0.430 x4
5 Se 0.165 0.038 0.637 x8

Most intense lines, 2θ = 10–90°, in order of rising 2θ:
d_spacing	2theta	I (rel.)	index
3.548	25.1	17	1 3 1
3.426	26.0	14	2 1 1
2.989	29.9	100	1 4 1
2.755	32.5	43	2 4 0
2.677	33.5	12	0 5 1
2.589	34.6	36	1 3 2
2.564	35.0	44	3 0 1
2.525	35.5	15	3 1 1
2.444	36.8	14	0 6 0
1.921	47.3	13	2 1 3